# LiHf3Pb5
Calculated X-ray diffraction stick pattern, Cu Kα X-rays. Input: a crystal structure in OQMD, relaxed with GGA-PBE.

Principal peaks in the range 10 to 80 degrees two-theta, in order of rising 2θ:
2theta, intensity
10.9, 583
16.8, 562
29.3, 777
33.2, 575
35.8, 1000
40.8, 935

Structure:
```
LiHf3Pb5
1.0
6.1001 0.0000 0.0000
-3.0501 5.2828 0.0000
0.0000 0.0000 8.1062
Li Hf Pb
1 3 5
direct
0.0000 0.0000 0.0000
0.0000 0.5000 0.5000
0.5000 0.0000 0.5000
0.5000 0.5000 0.5000
0.0000 0.0000 0.5000
0.3333 0.6667 0.1866
0.3333 0.6667 0.8134
0.6667 0.3333 0.1866
0.6667 0.3333 0.8134
```

=====

# Ho3Er2Mg3
Calculated X-ray diffraction stick pattern, Cu Kα X-rays. Input: a crystal structure in OQMD, relaxed with GGA-PBE.

Principal peaks in the range 10 to 80 degrees two-theta, in order of rising 2θ:
2theta, intensity
16.0, 274
30.0, 357
32.2, 244
34.2, 1000
44.6, 243
58.7, 212

Structure:
```
Ho3Er2Mg3
1.0
6.8679 0.0000 0.0000
-3.4340 5.9478 0.0000
0.0000 0.0000 5.5559
Ho Er Mg
3 2 3
direct
0.0032 0.5016 0.0000
0.4984 0.5016 0.0000
0.4984 0.9968 0.0000
0.0000 0.0000 0.0000
0.3333 0.6667 0.5000
0.3412 0.1706 0.5000
0.8294 0.1706 0.5000
0.8294 0.6588 0.5000
```

=====

# Nd2AgSe3
Calculated X-ray diffraction stick pattern, Cu Kα X-rays. Input: a crystal structure in OQMD, relaxed with GGA-PBE.

Principal peaks in the range 10 to 80 degrees two-theta, in order of rising 2θ:
2theta, intensity
30.3, 618
33.2, 243
33.6, 1000
33.8, 220
42.4, 162
44.3, 270

Structure:
```
Nd2AgSe3
1.0
10.7901 0.0000 0.0000
0.0000 4.0881 0.0000
0.0000 0.0000 13.8720
Nd Ag Se
8 4 12
direct
0.0169 0.2500 0.2456
0.2242 0.7500 0.5190
0.2758 0.2500 0.0190
0.4831 0.7500 0.7456
0.5169 0.2500 0.2544
0.7242 0.7500 0.9810
0.7758 0.2500 0.4810
0.9831 0.7500 0.7544
0.2343 0.2500 0.7296
0.2657 0.7500 0.2296
0.7343 0.2500 0.7704
0.7657 0.7500 0.2704
0.0460 0.2500 0.6033
0.0909 0.7500 0.0979
0.2359 0.7500 0.8567
0.2641 0.2500 0.3567
0.4091 0.2500 0.5979
0.4540 0.7500 0.1033
0.5460 0.2500 0.8967
0.5909 0.7500 0.4021
0.7359 0.7500 0.6433
0.7641 0.2500 0.1433
0.9091 0.2500 0.9021
0.9540 0.7500 0.3967
```

=====

# HfZrSn2Sb2
Calculated X-ray diffraction stick pattern, Cu Kα X-rays. Input: a crystal structure in OQMD, relaxed with GGA-PBE.

Principal peaks in the range 10 to 80 degrees two-theta, in order of rising 2θ:
2theta, intensity
30.4, 329
33.0, 1000
37.5, 764
37.9, 666
44.9, 571
60.1, 340

Structure:
```
HfZrSn2Sb2
1.0
4.0368 0.0000 0.0000
0.0000 4.0368 0.0000
0.0000 0.0000 8.8210
Hf Zr Sn Sb
1 1 2 2
direct
0.0000 0.0000 0.0000
0.5000 0.5000 0.4657
0.0000 0.5000 0.7335
0.5000 0.0000 0.7335
0.0000 0.0000 0.3469
0.5000 0.5000 0.1152
```

=====

# Na5Nd4Ge4O16F
Calculated X-ray diffraction stick pattern, Cu Kα X-rays. Input: a crystal structure in OQMD, relaxed with GGA-PBE.

Principal peaks in the range 10 to 80 degrees two-theta, in order of rising 2θ:
2theta, intensity
22.8, 744
31.2, 1000
31.7, 717
34.7, 827
46.7, 485
48.9, 497

Structure:
```
Na5Nd4Ge4O16F
1.0
-6.0011 6.0011 2.8263
6.0011 -6.0011 2.8263
6.0011 6.0011 -2.8263
Na Nd Ge O F
5 4 4 16 1
direct
0.0000 0.0000 0.0000
0.1205 0.4305 0.5142
0.3938 0.8795 0.3100
0.5695 0.0838 0.6900
0.9162 0.6062 0.4858
0.3440 0.6411 0.9332
0.3589 0.2921 0.7030
0.5891 0.6560 0.2970
0.7079 0.4109 0.0668
0.0932 0.7422 0.8538
0.2578 0.1116 0.3509
0.7607 0.9068 0.6491
0.8884 0.2393 0.1462
0.0600 0.2438 0.7472
0.1483 0.6484 0.7132
0.1662 0.7215 0.0382
0.1778 0.3938 0.1252
0.2686 0.0526 0.8748
0.2785 0.3167 0.4447
0.3516 0.0649 0.4999
0.4966 0.3127 0.2528
0.5650 0.8517 0.5001
0.6062 0.7314 0.7839
0.6833 0.1279 0.9618
0.6873 0.9400 0.1838
0.7562 0.5034 0.8162
0.8721 0.8338 0.5553
0.9351 0.4350 0.2868
0.9474 0.8222 0.2161
0.5000 0.5000 0.0000
```

=====

# ScZn
Calculated X-ray diffraction stick pattern, Cu Kα X-rays. Input: a crystal structure in OQMD, relaxed with GGA-PBE.

Principal peaks in the range 10 to 80 degrees two-theta, in order of rising 2θ:
2theta, intensity
36.3, 265
37.2, 1000
37.9, 624
39.4, 397
44.3, 123
55.2, 141

Structure:
```
ScZn
1.0
4.5749 0.0000 0.0000
0.0000 8.5465 0.0000
0.0000 0.0000 5.8761
Sc Zn
6 6
direct
0.0000 0.0238 0.0000
0.0000 0.3410 0.6655
0.0000 0.6590 0.1655
0.0000 0.9762 0.5000
0.5000 0.2009 0.2836
0.5000 0.7991 0.7836
0.0000 0.3427 0.1615
0.0000 0.6573 0.6615
0.5000 0.1411 0.7574
0.5000 0.4687 0.9462
0.5000 0.5313 0.4462
0.5000 0.8589 0.2574
```